Structure and theoretical powder X-ray diffraction pattern of LiTe6Pd3 (a PBE-relaxed structure; Cu Kα (λ = 1.5418 Å)).

Most intense lines, 10 to 90 degrees two-theta, sorted by position:
2θ/deg  I (rel.)
17.8  16
29.6  100
41.7  42
42.9  45
53.0  17
57.2  16
70.5  12
77.8  12

Cell: 6.838 6.838 6.838 Å, 64.52 64.52 64.52°
Element x y z (fractional)
Li 0.000 0.000 0.000
Te 0.126 0.771 0.425
Te 0.312 0.586 0.949
Te 0.425 0.126 0.771
Te 0.586 0.949 0.312
Te 0.771 0.425 0.126
Te 0.949 0.312 0.586
Pd 0.193 0.193 0.193
Pd 0.525 0.525 0.525
Pd 0.714 0.714 0.714

---

Structure and theoretical powder X-ray diffraction pattern of RbP2H3O6 (a PBE-relaxed structure; Cu Kα (λ = 1.5418 Å)).

Most intense lines, 10 to 90 degrees two-theta, sorted by position:
2θ/deg  I (rel.)
20.8  29
23.0  100
23.7  32
26.1  44
26.4  30
26.9  30
34.9  25
37.4  28

Cell: 7.378 7.531 7.778 Å, 88.73 64.13 62.91°
Element x y z (fractional)
Rb 0.035 0.308 0.274
Rb 0.965 0.692 0.726
P 0.338 0.031 0.631
P 0.462 0.570 0.143
P 0.538 0.430 0.857
P 0.662 0.969 0.369
H 0.093 0.799 0.273
H 0.353 0.227 0.834
H 0.457 0.704 0.674
H 0.543 0.296 0.326
H 0.647 0.773 0.166
H 0.907 0.201 0.727
O 0.136 0.199 0.613
O 0.251 0.795 0.201
O 0.325 0.419 0.886
O 0.329 0.828 0.641
O 0.360 0.083 0.813
O 0.385 0.449 0.293
O 0.615 0.551 0.707
O 0.640 0.917 0.187
O 0.671 0.172 0.359
O 0.675 0.581 0.114
O 0.749 0.205 0.799
O 0.864 0.801 0.387

---

Structure and theoretical powder X-ray diffraction pattern of Ce2InNi (a PBE-relaxed structure; Cu Kα (λ = 1.5418 Å)).

Most intense lines, 10 to 90 degrees two-theta, sorted by position:
2θ/deg  I (rel.)
29.8  24
33.4  26
34.0  37
34.2  100
35.5  75
35.7  46
40.3  36
53.5  22

Cell: 6.958 6.958 7.936 Å, 95.08 95.08 28.52°
Element x y z (fractional)
Ce 0.068 0.068 0.301
Ce 0.244 0.244 0.694
Ce 0.756 0.756 0.306
Ce 0.932 0.932 0.699
In 0.393 0.393 0.054
In 0.607 0.607 0.946
Ni 0.414 0.414 0.402
Ni 0.586 0.586 0.598

---

Structure and theoretical powder X-ray diffraction pattern of Tl4Cd5 (a PBE-relaxed structure; Cu Kα (λ = 1.5418 Å)).

Most intense lines, 10 to 90 degrees two-theta, sorted by position:
2θ/deg  I (rel.)
32.8  100
33.9  80
47.9  30
58.5  19
59.2  31
68.2  24
78.8  13
86.9  13

Cell: 9.469 9.469 6.365 Å, 90.00 90.00 120.00°
Element x y z (fractional)
Tl 0.000 0.000 0.000
Tl 0.000 0.000 0.500
Tl 0.000 0.347 0.250
Tl 0.000 0.653 0.750
Tl 0.347 0.000 0.250
Tl 0.347 0.347 0.750
Tl 0.653 0.000 0.750
Tl 0.653 0.653 0.250
Cd 0.000 0.328 0.750
Cd 0.000 0.672 0.250
Cd 0.328 0.000 0.750
Cd 0.328 0.328 0.250
Cd 0.333 0.667 0.000
Cd 0.333 0.667 0.500
Cd 0.667 0.333 0.000
Cd 0.667 0.333 0.500
Cd 0.672 0.000 0.250
Cd 0.672 0.672 0.750

---

Structure and theoretical powder X-ray diffraction pattern of Tb2Sm6Ho (a PBE-relaxed structure; Cu Kα (λ = 1.5418 Å)).

Most intense lines, 10 to 90 degrees two-theta, sorted by position:
2θ/deg  I (rel.)
29.1  37
30.4  100
32.8  37
37.4  20
38.5  21
52.3  12
57.5  19
59.8  11

Cell: 9.977 9.977 3.641 Å, 90.00 90.00 124.04°
Element x y z (fractional)
Tb 0.179 0.821 0.000
Tb 0.821 0.179 0.000
Sm 0.159 0.488 0.500
Sm 0.316 0.316 0.000
Sm 0.488 0.159 0.500
Sm 0.512 0.841 0.500
Sm 0.684 0.684 0.000
Sm 0.841 0.512 0.500
Ho 0.000 0.000 0.500

---

Structure and theoretical powder X-ray diffraction pattern of SrLi5Tl7 (a PBE-relaxed structure; Cu Kα (λ = 1.5418 Å)).

Most intense lines, 10 to 90 degrees two-theta, sorted by position:
2θ/deg  I (rel.)
12.3  43
24.8  72
29.4  100
30.1  87
30.4  47
35.1  82
35.2  67
38.8  51

Cell: 7.792 7.792 7.792 Å, 134.04 98.19 99.34°
Element x y z (fractional)
Sr 0.000 0.000 0.000
Li 0.489 0.501 0.506
Li 0.489 0.983 0.988
Li 0.761 0.261 0.500
Li 0.994 0.501 0.012
Li 0.994 0.983 0.494
Tl 0.177 0.477 0.700
Tl 0.225 0.725 0.500
Tl 0.347 0.347 0.000
Tl 0.351 0.010 0.341
Tl 0.658 0.658 0.000
Tl 0.669 0.010 0.659
Tl 0.776 0.477 0.300

---

Structure and theoretical powder X-ray diffraction pattern of Pm4PrDy4 (a PBE-relaxed structure; Cu Kα (λ = 1.5418 Å)).

Most intense lines, 10 to 90 degrees two-theta, sorted by position:
2θ/deg  I (rel.)
30.3  100
35.1  34
35.3  17
50.5  12
50.6  24
60.1  29
60.3  14
63.1  12

Cell: 8.074 8.074 8.074 Å, 95.70 95.70 143.27°
Element x y z (fractional)
Pm 0.000 0.332 0.332
Pm 0.000 0.668 0.668
Pm 0.332 0.000 0.332
Pm 0.668 0.000 0.668
Pr 0.000 0.000 0.000
Dy 0.333 0.333 0.666
Dy 0.333 0.667 0.000
Dy 0.667 0.333 0.000
Dy 0.667 0.667 0.334

---

Structure and theoretical powder X-ray diffraction pattern of Sr2YbReO6 (a PBE-relaxed structure; Cu Kα (λ = 1.5418 Å)).

Most intense lines, 10 to 90 degrees two-theta, sorted by position:
2θ/deg  I (rel.)
21.4  22
30.4  100
43.5  29
49.0  9
54.0  41
63.2  18
71.8  18
87.8  22

Cell: 5.882 5.882 5.882 Å, 60.00 60.00 60.00°
Element x y z (fractional)
Sr 0.250 0.250 0.250
Sr 0.750 0.750 0.750
Yb 0.000 0.000 0.000
Re 0.500 0.500 0.500
O 0.267 0.267 0.733
O 0.267 0.733 0.267
O 0.267 0.733 0.733
O 0.733 0.267 0.267
O 0.733 0.267 0.733
O 0.733 0.733 0.267